Diffraction record for Ca2Ni12P3Pt. The PXRD pattern is calculated, not measured: it uses a GGA-PBE-relaxed structure and Cu Kα (weighted mean of Kα1 and Kα2).

Largest 10 diffraction maxima, sorted by position, 10 to 90 degrees two-theta:
d 6.164, I = 775
d 3.580, I = 556
d 3.168, I = 517
d 3.028, I = 352
d 2.611, I = 648
d 2.398, I = 505
d 2.155, I = 370
d 1.909, I = 1000
d 1.790, I = 754
d 1.306, I = 301

Cell: 7.188 7.188 7.188 Å, 64.15 64.15 64.15°
Sites, in units of the cell vectors:
Ca 0.104 0.104 0.104
Ca 0.896 0.896 0.896
Ni 0.112 0.629 0.629
Ni 0.160 0.160 0.592
Ni 0.160 0.592 0.160
Ni 0.371 0.371 0.888
Ni 0.371 0.888 0.371
Ni 0.408 0.840 0.840
Ni 0.592 0.160 0.160
Ni 0.629 0.112 0.629
Ni 0.629 0.629 0.112
Ni 0.840 0.408 0.840
Ni 0.840 0.840 0.408
Ni 0.888 0.371 0.371
P 0.000 0.500 0.500
P 0.500 0.000 0.500
P 0.500 0.500 0.000
Pt 0.500 0.500 0.500